# K2UBr6
Theoretical X-ray diffraction stick pattern, Cu Kα X-rays. Input: the PBE geometry in OQMD.
Intensities are scaled so that the largest is 100.

Crystal structure
Cell lengths 7.380, 7.380, 14.205 Å; angles 90.00, 90.00, 90.00 degrees
Positions (direct):
K 0.000 0.000 0.166
K 0.000 0.000 0.834
K 0.500 0.500 0.334
K 0.500 0.500 0.666
U 0.000 0.000 0.500
U 0.500 0.500 0.000
Br 0.184 0.184 0.358
Br 0.184 0.184 0.642
Br 0.232 0.232 0.000
Br 0.268 0.732 0.500
Br 0.316 0.684 0.142
Br 0.316 0.684 0.858
Br 0.684 0.316 0.142
Br 0.684 0.316 0.858
Br 0.732 0.268 0.500
Br 0.768 0.768 0.000
Br 0.816 0.816 0.358
Br 0.816 0.816 0.642

Main lines, by intensity (10° ≤ 2θ ≤ 90°):
- hkl 1 0 1, 13.52°, I = 100
- hkl 1 1 0, 16.99°, I = 68
- hkl 1 1 3, 25.40°, I = 67
- hkl 2 1 3, 33.09°, I = 66
- hkl 3 0 3, 41.36°, I = 44
- hkl 0 0 2, 12.46°, I = 38